# LaTb2Cu9
Computed PXRD pattern, Cu Kα (λ = 1.5418 Å). Input: a crystal structure in Alexandria, relaxed with GGA-PBE.
Intensities are scaled so that the largest is 100.

Cell and atoms:
a b c (Å): 5.295 5.295 16.398
angles (deg): 90.00 90.00 120.00
Fractional positions:
1 La 0.333 0.667 0.250
2 La 0.667 0.333 0.750
3 Tb 0.333 0.667 0.032
4 Tb 0.333 0.667 0.468
5 Tb 0.667 0.333 0.532
6 Tb 0.667 0.333 0.968
7 Cu 0.000 0.000 0.000
8 Cu 0.000 0.000 0.250
9 Cu 0.000 0.000 0.500
10 Cu 0.000 0.000 0.750
11 Cu 0.166 0.333 0.626
12 Cu 0.166 0.333 0.874
13 Cu 0.166 0.834 0.626
14 Cu 0.166 0.834 0.874
15 Cu 0.333 0.166 0.126
16 Cu 0.333 0.166 0.374
17 Cu 0.333 0.667 0.750
18 Cu 0.667 0.333 0.250
19 Cu 0.667 0.834 0.626
20 Cu 0.667 0.834 0.874
21 Cu 0.834 0.166 0.126
22 Cu 0.834 0.166 0.374
23 Cu 0.834 0.667 0.126
24 Cu 0.834 0.667 0.374

Largest 10 diffraction maxima, sorted by position, 5° ≤ 2θ ≤ 70°:
d/Å  Rel. int.  index
2.668  49  1 0 5
2.647  46  1 1 0
2.271  30  2 0 1
2.224  100  1 1 4
2.114  21  2 0 3
2.086  15  1 0 7
2.050  15  0 0 8
1.532  18  2 1 5
1.432  23  3 0 4
1.426  16  2 0 9